[1]
Theoretical X-ray diffraction stick pattern
Compound: Li2MgMoO4
Radiation: copper Kα
Structure: a PBE+U-relaxed structure
Lines closer than 0.1° are merged.

Largest 10 diffraction maxima, in order of rising 2θ, 10 to 80 degrees two-theta:
d = 4.470 Å, 2θ = 19.86°, intensity 19, (0 0 2); d = 3.804 Å, 2θ = 23.38°, intensity 100, (1 0 1); d = 2.973 Å, 2θ = 30.06°, intensity 14, (1 1 0); d = 2.475 Å, 2θ = 36.29°, intensity 15, (1 1 2); d = 2.431 Å, 2θ = 36.98°, intensity 19, (1 0 3); d = 2.235 Å, 2θ = 40.36°, intensity 21, (0 0 4); d = 2.102 Å, 2θ = 43.03°, intensity 37, (2 0 0); d = 1.840 Å, 2θ = 49.55°, intensity 24, (2 1 1); d = 1.645 Å, 2θ = 55.88°, intensity 11, (1 0 5); d = 1.531 Å, 2θ = 60.46°, intensity 22, (2 0 4)

Cell and atoms:
```
data_Li2MgMoO4
_cell_length_a 4.2038
_cell_length_b 4.2038
_cell_length_c 8.9396
_cell_angle_alpha 90.00
_cell_angle_beta 90.00
_cell_angle_gamma 90.00
_space_group_name_H-M_alt 'I -4 m 2'
_space_group_IT_number 119
_space_group_name_Hall 'I -4 -2'
loop_
_atom_site_label
_atom_site_fract_x
_atom_site_fract_y
_atom_site_fract_z
_atom_site_occupancy
Li1 0.0000 0.0000 0.0000 1
Li2 0.0000 0.5000 0.2500 1
Mg1 0.0000 0.5000 0.7500 1
Mo1 0.0000 0.0000 0.5000 1
O1 0.0000 0.0000 0.2727 1
O2 0.0000 0.5000 0.5119 1
```



[2]
Theoretical X-ray diffraction stick pattern
Compound: Li2Mg2MoO6
Radiation: copper Kα
Structure: a PBE+U-relaxed structure
Lines closer than 0.1° are merged.

Largest 10 diffraction maxima, in order of rising 2θ, 10 to 80 degrees two-theta:
d = 4.843 Å, 2θ = 18.32°, intensity 14, (0 0 1); d = 4.320 Å, 2θ = 20.56°, intensity 37, (1 0 0); d = 3.224 Å, 2θ = 27.67°, intensity 100, (1 0 1); d = 2.494 Å, 2θ = 36.01°, intensity 21, (1 1 0); d = 2.217 Å, 2θ = 40.69°, intensity 23, (2 -1 1); d = 1.973 Å, 2θ = 46.01°, intensity 23, (2 0 1); d = 1.737 Å, 2θ = 52.68°, intensity 46, (2 -1 2); d = 1.547 Å, 2θ = 59.77°, intensity 21, (3 -1 1); d = 1.512 Å, 2θ = 61.30°, intensity 10, (1 0 3); d = 1.440 Å, 2θ = 64.74°, intensity 17, (3 0 0)

Cell and atoms:
```
data_Li2Mg2MoO6
_cell_length_a 4.9881
_cell_length_b 4.9881
_cell_length_c 4.8434
_cell_angle_alpha 90.00
_cell_angle_beta 90.00
_cell_angle_gamma 120.00
_space_group_name_H-M_alt 'P -3 1 m'
_space_group_IT_number 162
_space_group_name_Hall '-P 3 2'
loop_
_atom_site_label
_atom_site_fract_x
_atom_site_fract_y
_atom_site_fract_z
_atom_site_occupancy
Li1 0.3333 0.6667 0.0000 1
Mg1 0.3333 0.6667 0.5000 1
Mo1 0.0000 0.0000 0.0000 1
O1 0.0000 0.3225 0.2344 1
```